Computed powder XRD pattern of Mn9FeO10 for Cu Kα (weighted mean of Kα1 and Kα2), from a DFT-relaxed cell (PBE+U, Alexandria).

Cell and atoms:
```
data_Mn9FeO10
_space_group_name_H-M_alt 'C 1 2/m 1'
_space_group_IT_number 12
_space_group_name_Hall '-C 2y'
_cell_length_a 13.933
_cell_length_b 3.173
_cell_length_c 10.570
_cell_angle_alpha 90.00
_cell_angle_beta 102.11
_cell_angle_gamma 90.00
loop_
_atom_site_label
_atom_site_type_symbol
_atom_site_fract_x
_atom_site_fract_y
_atom_site_fract_z
_atom_site_occupancy
Mn1 Mn 0.000 0.000 0.000 1
Mn2 Mn 0.100 0.000 0.302 1
Mn3 Mn 0.100 0.500 0.800 1
Mn4 Mn 0.199 0.000 0.599 1
Mn5 Mn 0.200 0.500 0.101 1
Fe1 Fe 0.000 0.500 0.500 1
O1 O 0.049 0.000 0.647 1
O2 O 0.050 0.500 0.151 1
O3 O 0.150 0.000 0.950 1
O4 O 0.150 0.500 0.450 1
O5 O 0.249 0.500 0.750 1
```

Main lines, by intensity (2θ from 15° to 90°):
| 2θ (°) | I/Imax | h k l |
| --- | --- | --- |
| 40.11 | 100.0 | 1 1 3 |
| 34.49 | 93.2 | 4 0 2 |
| 57.86 | 73.4 | 7 1 1 |
| 39.88 | 51.0 | 6 0 -2 |
| 58.14 | 14.5 | 0 2 0 |
| 72.62 | 13.4 | 8 0 4 |
| 72.83 | 13.4 | 6 2 -2 |
| 68.96 | 12.2 | 10 0 0 |
| 69.20 | 12.1 | 5 1 5 |
| 69.36 | 12.0 | 4 2 2 |